# BaAuO4
Calculated powder X-ray diffraction pattern, a wavelength of 1.5418 Å. Input: a cell relaxed with GGA-PBE.

Atomic structure:
```
12
Lattice="8.5588 -3.1131 0.0000 8.5588 3.1131 0.0000 -1.2387 0.0000 4.4486" Properties=species:S:1:pos:R:3 pbc="T T T"
Ba 3.0480 0.0000 0.8563
Ba 12.8309 0.0000 3.5924
Au 5.6794 0.0000 3.9894
Au 10.1995 0.0000 0.4592
O 6.3909 2.4603 1.7855
O 9.4880 2.4603 2.6632
O 3.7795 0.0000 3.4566
O 8.5588 1.1421 0.0000
O 8.5588 -1.1421 0.0000
O 12.0995 0.0000 0.9920
O 6.3909 -2.4603 1.7855
O 9.4880 -2.4603 2.6632
```

Top 6 peaks for 10 to 90 degrees two-theta, sorted by position:
- 19.97 deg, rel. 1000
- 26.35 deg, rel. 624
- 28.68 deg, rel. 650
- 30.68 deg, rel. 754
- 32.47 deg, rel. 544
- 40.87 deg, rel. 507

# Ba4AuO
Calculated powder X-ray diffraction pattern, a wavelength of 1.5418 Å. Input: a cell relaxed with GGA-PBE.

Atomic structure:
```
12
Lattice="5.3881 -8.5959 0.0000 5.3881 8.5959 0.0000 -5.3864 0.0000 5.3923" Properties=species:S:1:pos:R:3 pbc="T T T"
Ba -0.8410 5.2116 4.5907
Ba -0.8007 0.9132 3.5400
Ba 1.8926 -0.9132 0.8439
Ba 3.5376 5.2116 3.4978
Ba 1.8522 -5.2116 1.8946
Ba 3.4972 0.9132 4.5485
Ba 6.1904 -0.9132 1.8523
Ba 6.2308 -5.2116 0.8016
Au 4.0415 2.1478 1.3481
Au 1.3483 -2.1478 4.0442
O 1.3483 6.4490 4.0442
O 4.0415 -6.4490 1.3481
```

Top 6 peaks for 10 to 90 degrees two-theta, sorted by position:
- 19.44 deg, rel. 524
- 26.52 deg, rel. 1000
- 26.66 deg, rel. 973
- 28.48 deg, rel. 367
- 30.51 deg, rel. 643
- 38.78 deg, rel. 598

# Ba2AuO
Calculated powder X-ray diffraction pattern, a wavelength of 1.5418 Å. Input: a cell relaxed with GGA-PBE.

Atomic structure:
```
8
Lattice="3.0014 -7.1450 0.0000 3.0014 7.1450 0.0000 0.0000 0.0000 6.4079" Properties=species:S:1:pos:R:3 pbc="T T T"
Ba 1.2317 1.4992 0.0000
Ba 1.2317 -1.4992 3.2039
Ba 4.7712 1.4992 3.2039
Ba 4.7712 -1.4992 0.0000
Au 1.5007 3.5725 3.2039
Au 1.5007 -3.5725 0.0000
O 0.0000 0.0000 1.6020
O 0.0000 0.0000 4.8059
```

Top 6 peaks for 10 to 90 degrees two-theta, sorted by position:
- 27.66 deg, rel. 1000
- 27.85 deg, rel. 261
- 29.77 deg, rel. 182
- 37.58 deg, rel. 136
- 41.21 deg, rel. 177
- 49.15 deg, rel. 210

# Ba2OsAuO6
Calculated powder X-ray diffraction pattern, a wavelength of 1.5418 Å. Input: a cell relaxed with GGA-PBE.

Atomic structure:
```
10
Lattice="6.0818 0.0000 0.0000 -2.0426 5.9180 0.0000 -2.1449 -2.6948 5.3304" Properties=species:S:1:pos:R:3 pbc="T T T"
Ba -1.0141 1.1776 1.1306
Ba 2.9084 2.0457 4.1998
Os 2.0196 2.9590 0.0000
Au 1.9685 -1.3474 2.6652
O -0.9489 -1.3837 5.0105
O -0.8194 0.9462 3.7308
O 0.3384 3.5582 0.9385
O 1.5559 -0.3350 4.3919
O 2.7137 2.2771 1.5996
O 2.8432 4.6070 0.3199
```

Top 6 peaks for 10 to 90 degrees two-theta, sorted by position:
- 24.91 deg, rel. 1000
- 28.66 deg, rel. 304
- 29.47 deg, rel. 273
- 29.90 deg, rel. 288
- 30.74 deg, rel. 343
- 35.57 deg, rel. 163

# BaPaAuO5
Calculated powder X-ray diffraction pattern, a wavelength of 1.5418 Å. Input: a cell relaxed with GGA-PBE.

Atomic structure:
```
16
Lattice="3.2402 -5.3229 0.0000 3.2402 5.3229 0.0000 -2.2706 0.0000 7.9032" Properties=species:S:1:pos:R:3 pbc="T T T"
Ba 1.5372 3.4012 5.9274
Ba 2.6726 -3.4012 1.9758
Pa 3.2402 0.0000 0.0000
Pa 2.1049 0.0000 3.9516
Au 2.6726 3.5592 1.9758
Au 1.5372 -3.5592 5.9274
O -1.0900 0.3118 7.2761
O 0.0453 -0.3118 3.3245
O 2.1431 2.0969 3.3560
O 3.2020 2.0969 0.5955
O 1.5372 0.7150 5.9274
O 2.6726 -0.7150 1.9758
O 1.0078 -2.0969 7.3076
O 2.0667 -2.0969 4.5471
O 4.1645 0.3118 4.5786
O 5.2998 -0.3118 0.6270
```

Top 6 peaks for 10 to 90 degrees two-theta, sorted by position:
- 24.57 deg, rel. 862
- 28.12 deg, rel. 652
- 28.66 deg, rel. 698
- 28.96 deg, rel. 1000
- 31.12 deg, rel. 363
- 51.40 deg, rel. 273

# Ba2RhAuO6
Calculated powder X-ray diffraction pattern, a wavelength of 1.5418 Å. Input: a cell relaxed with GGA-PBE.

Atomic structure:
```
10
Lattice="5.6709 -2.7708 0.0000 5.6709 2.7708 0.0000 -1.8520 0.0000 4.9797" Properties=species:S:1:pos:R:3 pbc="T T T"
Ba 2.2482 0.0000 1.0862
Ba 7.2416 0.0000 3.8935
Rh 5.6709 0.0000 0.0000
Au -0.9260 0.0000 2.4899
O 4.5766 1.4054 0.9787
O 4.9131 1.4054 4.0011
O 2.2906 0.0000 3.7408
O 7.1991 0.0000 1.2389
O 4.5766 -1.4054 0.9787
O 4.9131 -1.4054 4.0011
```

Top 6 peaks for 10 to 90 degrees two-theta, sorted by position:
- 27.48 deg, rel. 1000
- 30.04 deg, rel. 917
- 32.31 deg, rel. 342
- 33.73 deg, rel. 304
- 34.02 deg, rel. 279
- 47.62 deg, rel. 331

# Ba6RhAu2O
Calculated powder X-ray diffraction pattern, a wavelength of 1.5418 Å. Input: a cell relaxed with GGA-PBE.

Atomic structure:
```
20
Lattice="7.6314 0.0000 0.0000 0.0000 8.4106 0.0000 -7.5721 0.0000 11.1820" Properties=species:S:1:pos:R:3 pbc="T T T"
Ba -0.8894 0.2550 2.6503
Ba -4.6755 3.9503 8.2413
Ba 1.3162 5.8293 0.6630
Ba -2.4698 6.7866 6.2540
Ba 2.3208 1.4942 0.6154
Ba -1.4653 2.7111 6.2064
Ba 1.5246 5.6995 4.9756
Ba -2.2614 6.9164 10.5666
Ba 2.5291 1.6240 4.9280
Ba -1.2569 2.5813 10.5190
Ba 4.7348 4.4604 2.9408
Ba 0.9488 8.1556 8.5318
Rh 0.0297 0.0000 5.5910
Rh 3.8157 4.2053 0.0000
Au -3.4412 0.8393 8.4029
Au 0.3448 3.3660 2.8119
Au -0.2855 5.0446 8.3701
Au 3.5006 7.5714 2.7791
O 0.0000 0.0000 0.0000
O -3.7861 4.2053 5.5910
```

Top 6 peaks for 10 to 90 degrees two-theta, sorted by position:
- 26.54 deg, rel. 959
- 26.89 deg, rel. 1000
- 29.03 deg, rel. 636
- 32.05 deg, rel. 967
- 32.69 deg, rel. 411
- 35.03 deg, rel. 519

# BaScAuO4
Calculated powder X-ray diffraction pattern, a wavelength of 1.5418 Å. Input: a cell relaxed with GGA-PBE.

Atomic structure:
```
14
Lattice="3.3971 -4.8799 0.0000 3.3971 4.8799 0.0000 0.0000 0.0000 7.6347" Properties=species:S:1:pos:R:3 pbc="T T T"
Ba 0.0000 0.0000 0.0000
Ba 0.0000 0.0000 3.8173
Sc 3.3971 1.1654 5.7260
Sc 3.3971 -1.1654 1.9087
Au 3.3971 1.8751 1.9087
Au 3.3971 -1.8751 5.7260
O 1.8303 0.0158 1.9087
O 1.8303 -0.0158 5.7260
O 3.3971 2.0925 3.8931
O 3.3971 2.0925 7.5589
O 3.3971 -2.0925 0.0758
O 3.3971 -2.0925 3.7416
O 4.9639 0.0158 1.9087
O 4.9639 -0.0158 5.7260
```

Top 6 peaks for 10 to 90 degrees two-theta, sorted by position:
- 19.72 deg, rel. 982
- 26.23 deg, rel. 796
- 28.33 deg, rel. 1000
- 30.46 deg, rel. 960
- 40.04 deg, rel. 605
- 47.63 deg, rel. 417